Record 1
For Li3Nd2HoPb3, a DFT-relaxed cell (PBE, OQMD) gives the theoretical powder X-ray diffraction pattern in this record (Cu Kα X-rays).
Lines closer than 0.1° are merged.

Crystal structure
Cell lengths 4.8651, 4.8651, 11.0451 Å; angles 90.00, 90.00, 120.00 degrees
Space group P-6m2 (No. 187)
One atom of each set of equivalent atoms:
1 Li 0.0000 0.0000 0.0000 x1
2 Li 0.3333 0.6667 0.3164 x2
3 Nd 0.6667 0.3333 0.1683 x2
4 Ho 0.6667 0.3333 0.5000 x1
5 Pb 0.0000 0.0000 0.3384 x2
6 Pb 0.3333 0.6667 0.0000 x1

Top 10 peaks for 10° ≤ 2θ ≤ 90°, sorted by position:
2θ (°)	I/Imax
22.59	49
26.61	28
32.29	100
36.95	66
39.00	15
49.87	30
63.36	28
63.67	29
66.59	12
87.60	13


Record 2
For Li6Ho2O7, a DFT-relaxed cell (PBE, OQMD) gives the theoretical powder X-ray diffraction pattern in this record (Cu Kα X-rays).
Lines closer than 0.1° are merged.

Crystal structure
Cell lengths 5.4421, 5.5520, 6.1158 Å; angles 68.22, 82.76, 78.80 degrees
Space group P-1 (No. 2)
One atom of each set of equivalent atoms:
1 Li 0.0371 0.2192 0.4158 x2
2 Li 0.3474 0.6829 0.2911 x2
3 Li 0.4012 0.7369 0.8269 x2
4 Ho 0.1452 0.2529 0.9200 x2
5 O 0.0398 0.0049 0.7460 x2
6 O 0.2240 0.4711 0.1443 x2
7 O 0.3198 0.5595 0.6215 x2
8 O 0.5000 0.0000 0.0000 x1

Top 10 peaks for 10° ≤ 2θ ≤ 90°, sorted by position:
2θ (°)	I/Imax
15.63	100
16.64	42
22.18	65
26.08	25
27.64	24
31.20	33
35.27	20
38.61	24
40.66	22
44.77	23


Record 3
For Li2Ho2O5, a DFT-relaxed cell (PBE, OQMD) gives the theoretical powder X-ray diffraction pattern in this record (Cu Kα X-rays).
Lines closer than 0.1° are merged.

Crystal structure
Cell lengths 3.6502, 3.6502, 6.8855 Å; angles 90.00, 90.00, 90.00 degrees
Space group P4/mmm (No. 123)
One atom of each set of equivalent atoms:
1 Li 0.0000 0.0000 0.2429 x2
2 Ho 0.5000 0.5000 0.0000 x1
3 Ho 0.5000 0.5000 0.5000 x1
4 O 0.0000 0.0000 0.5000 x1
5 O 0.0000 0.5000 0.2099 x4

Top 10 peaks for 10° ≤ 2θ ≤ 90°, sorted by position:
2θ (°)	I/Imax
24.38	100
25.88	36
34.76	37
35.85	86
43.84	71
49.97	27
56.36	21
59.36	18
63.02	34
89.55	24


Record 4
For Li4Ho2O5, a DFT-relaxed cell (PBE, OQMD) gives the theoretical powder X-ray diffraction pattern in this record (Cu Kα X-rays).
Lines closer than 0.1° are merged.

Crystal structure
Cell lengths 4.4522, 13.4737, 4.4417 Å; angles 90.00, 90.00, 90.00 degrees
Space group Cmmm (No. 65)
One atom of each set of equivalent atoms:
1 Li 0.0000 0.0000 0.0000 x2
2 Li 0.0000 0.1879 0.5000 x4
3 Li 0.0000 0.5000 0.5000 x2
4 Ho 0.0000 0.3417 0.0000 x4
5 O 0.0000 0.1660 0.0000 x4
6 O 0.0000 0.3431 0.5000 x4
7 O 0.0000 0.5000 0.0000 x2

Top 10 peaks for 10° ≤ 2θ ≤ 90°, sorted by position:
2θ (°)	I/Imax
13.14	48
19.99	100
21.01	60
28.22	67
29.16	33
34.83	60
40.16	25
40.57	53
50.20	28
58.41	31